Theoretical powder X-ray diffraction pattern of Mg2ZrTeF for a wavelength of 1.5418 Å, from a DFT-relaxed cell (PBE, Alexandria).
Lines closer than 0.1° are merged.

Largest 8 diffraction maxima, by angle, 15° ≤ 2θ ≤ 90°:
2θ 21.81, I 72.2; 2θ 26.45, I 100.0; 2θ 30.73, I 18.4; 2θ 31.03, I 71.3; 2θ 41.21, I 60.8; 2θ 44.46, I 25.7; 2θ 54.45, I 27.6; 2θ 62.22, I 18.1

Crystal structure
a b c (Å): 5.764 5.764 4.155
angles (deg): 90.00 90.00 90.00
Element x y z (fractional)
1 Mg 0.000 0.500 0.000
2 Mg 0.500 0.000 0.000
3 Zr 0.000 0.000 0.000
4 Te 0.500 0.500 0.500
5 F 0.000 0.000 0.500